# ErTm3Rh8
Theoretical powder diffraction line list, a wavelength of 1.5418 Å. Input: a PBE-relaxed structure.
Neutral-atom scattering factors, no anomalous dispersion.

Structural model:
Unit cell a=5.3052 b=5.3052 c=8.6670 alpha=90.00 beta=90.00 gamma=120.00
Space group P3m1 (No. 156)
Symmetry-distinct sites (fractional):
1 Er 0.0000 0.0000 0.0000 (multiplicity 1)
2 Tm 0.0000 0.0000 0.3676 (multiplicity 1)
3 Tm 0.6667 0.3333 0.4997 (multiplicity 1)
4 Tm 0.6667 0.3333 0.8670 (multiplicity 1)
5 Rh 0.1639 0.3278 0.6833 (multiplicity 3)
6 Rh 0.3333 0.6667 0.4335 (multiplicity 1)
7 Rh 0.3333 0.6667 0.9334 (multiplicity 1)
8 Rh 0.5027 0.0055 0.1839 (multiplicity 3)

Most intense lines, 2θ = 15–90°, low angle first:
two_theta, I_rel
33.79, 46
36.75, 90
39.85, 100
40.63, 76
62.39, 36
67.72, 30

---

# Er4ZnRh2
Theoretical powder diffraction line list, a wavelength of 1.5418 Å. Input: a PBE-relaxed structure.
Neutral-atom scattering factors, no anomalous dispersion.

Structural model:
Unit cell a=4.8206 b=4.8206 c=6.8629 alpha=90.00 beta=90.00 gamma=90.00
Space group P4/mmm (No. 123)
Symmetry-distinct sites (fractional):
1 Er 0.0000 0.5000 0.2465 (multiplicity 4)
2 Zn 0.0000 0.0000 0.5000 (multiplicity 1)
3 Rh 0.0000 0.0000 0.0000 (multiplicity 1)
4 Rh 0.5000 0.5000 0.5000 (multiplicity 1)

Most intense lines, 2θ = 15–90°, low angle first:
two_theta, I_rel
26.14, 20
37.18, 100
37.31, 50
53.79, 17
66.95, 18
67.20, 35

---

# Er3Zn2Rh6
Theoretical powder diffraction line list, a wavelength of 1.5418 Å. Input: a PBE-relaxed structure.
Neutral-atom scattering factors, no anomalous dispersion.

Structural model:
Unit cell a=9.2999 b=9.2999 c=9.2999 alpha=90.00 beta=90.00 gamma=90.00
Space group Im-3m (No. 229)
Symmetry-distinct sites (fractional):
1 Er 0.0000 0.0000 0.2926 (multiplicity 12)
2 Zn 0.2500 0.2500 0.2500 (multiplicity 8)
3 Rh 0.0000 0.3440 0.3440 (multiplicity 24)

Most intense lines, 2θ = 15–90°, low angle first:
two_theta, I_rel
30.39, 18
33.38, 24
36.14, 24
41.18, 100
75.06, 27
84.67, 12

---

# Er3ZnRh8
Theoretical powder diffraction line list, a wavelength of 1.5418 Å. Input: a PBE-relaxed structure.
Neutral-atom scattering factors, no anomalous dispersion.

Structural model:
Unit cell a=5.2604 b=5.2604 c=25.8591 alpha=90.00 beta=90.00 gamma=120.00
Space group R3m (No. 160, hexagonal axes)
Symmetry-distinct sites (fractional):
1 Er 0.0000 0.0000 0.0000 (multiplicity 3)
2 Er 0.0000 0.0000 0.1292 (multiplicity 3)
3 Er 0.0000 0.0000 0.5121 (multiplicity 3)
4 Zn 0.0000 0.0000 0.6353 (multiplicity 3)
5 Rh 0.0000 0.0000 0.3168 (multiplicity 3)
6 Rh 0.0000 0.0000 0.8170 (multiplicity 3)
7 Rh 0.9996 0.4998 0.0665 (multiplicity 9)
8 Rh 0.1670 0.3339 0.9011 (multiplicity 9)

Most intense lines, 2θ = 15–90°, low angle first:
two_theta, I_rel
34.05, 49
40.14, 100
40.20, 34
42.06, 32
65.11, 31
71.78, 18